Record 1
Calculated PXRD pattern of Tl5Hg2Te5 for Cu Kα (weighted mean of Kα1 and Kα2), from a PBE-relaxed structure.
Intensities are scaled so that the largest is 100.

Peak list (10 most intense, 2θ = 15–90°, low angle first)
- 2θ 22.63, I 41
- 2θ 25.47, I 100
- 2θ 26.19, I 63
- 2θ 27.04, I 96
- 2θ 28.90, I 71
- 2θ 29.04, I 41
- 2θ 29.49, I 92
- 2θ 38.23, I 76
- 2θ 38.97, I 92
- 2θ 49.00, I 46

Structure:
a = 4.7089 Å, b = 8.2038 Å, c = 12.3732 Å
α = 109.17°, β = 90.12°, γ = 106.62°
Space group P-1 (No. 2)
Symmetry-distinct sites (fractional):
Tl1 0.0000 0.0000 0.0000 [1 per cell]
Tl2 0.1547 0.3076 0.5540 [2 per cell]
Tl3 0.2296 0.4609 0.8422 [2 per cell]
Hg1 0.4507 0.9019 0.7149 [2 per cell]
Te1 0.1580 0.3158 0.2922 [2 per cell]
Te2 0.3840 0.7672 0.0912 [2 per cell]
Te3 0.5000 0.0000 0.5000 [1 per cell]


Record 2
Calculated PXRD pattern of SrTe5 for Cu Kα (weighted mean of Kα1 and Kα2), from a PBE-relaxed structure.
Intensities are scaled so that the largest is 100.

Peak list (10 most intense, 2θ = 15–90°, low angle first)
- 2θ 16.67, I 15
- 2θ 30.66, I 100
- 2θ 31.12, I 37
- 2θ 31.37, I 29
- 2θ 36.62, I 24
- 2θ 44.77, I 21
- 2θ 48.80, I 21
- 2θ 55.08, I 19
- 2θ 61.98, I 14
- 2θ 79.49, I 14

Structure:
a = 5.7476 Å, b = 14.0157 Å, c = 4.9080 Å
α = 90.00°, β = 90.00°, γ = 90.00°
Space group Cmmm (No. 65)
Symmetry-distinct sites (fractional):
Sr1 0.0000 0.0000 0.0000 [2 per cell]
Te1 0.0000 0.2195 0.5000 [4 per cell]
Te2 0.0000 0.3588 0.0000 [4 per cell]
Te3 0.0000 0.5000 0.5000 [2 per cell]


Record 3
Calculated PXRD pattern of Li2Zn2F7 for Cu Kα (weighted mean of Kα1 and Kα2), from a PBE-relaxed structure.
Intensities are scaled so that the largest is 100.

Peak list (10 most intense, 2θ = 15–90°, low angle first)
- 2θ 17.26, I 57
- 2θ 19.35, I 93
- 2θ 22.91, I 78
- 2θ 25.94, I 78
- 2θ 26.05, I 100
- 2θ 28.65, I 46
- 2θ 39.28, I 30
- 2θ 41.12, I 49
- 2θ 45.73, I 44
- 2θ 50.20, I 44

Structure:
a = 6.3001 Å, b = 9.1743 Å, c = 5.1908 Å
α = 90.00°, β = 98.44°, γ = 90.00°
Space group C2/m (No. 12)
Symmetry-distinct sites (fractional):
Li1 0.0000 0.1984 0.0000 [4 per cell]
Zn1 0.2345 0.0000 0.6318 [4 per cell]
F1 0.0000 0.5000 0.5000 [2 per cell]
F2 0.0634 0.0000 0.2672 [4 per cell]
F3 0.2281 0.3151 0.2016 [8 per cell]


Record 4
Calculated PXRD pattern of Dy3RuI3 for Cu Kα (weighted mean of Kα1 and Kα2), from a PBE-relaxed structure.
Intensities are scaled so that the largest is 100.

Peak list (10 most intense, 2θ = 15–90°, low angle first)
- 2θ 29.01, I 49
- 2θ 29.16, I 100
- 2θ 29.75, I 15
- 2θ 30.31, I 19
- 2θ 30.38, I 17
- 2θ 37.39, I 16
- 2θ 40.66, I 47
- 2θ 40.96, I 16
- 2θ 42.66, I 30
- 2θ 52.41, I 19

Structure:
a = 8.8762 Å, b = 4.2392 Å, c = 12.3358 Å
α = 90.00°, β = 93.58°, γ = 90.00°
Space group P2_1/m (No. 11)
Symmetry-distinct sites (fractional):
Dy1 0.0974 0.2500 0.3131 [2 per cell]
Dy2 0.1335 0.2500 0.8747 [2 per cell]
Dy3 0.2583 0.7500 0.1017 [2 per cell]
Ru1 0.0527 0.2500 0.0916 [2 per cell]
I1 0.1417 0.2500 0.6079 [2 per cell]
I2 0.3503 0.7500 0.3618 [2 per cell]
I3 0.4274 0.7500 0.8668 [2 per cell]


Record 5
Calculated PXRD pattern of Pm3GaCo2 for Cu Kα (weighted mean of Kα1 and Kα2), from a PBE-relaxed structure.
Intensities are scaled so that the largest is 100.

Peak list (10 most intense, 2θ = 15–90°, low angle first)
- 2θ 27.08, I 71
- 2θ 27.99, I 35
- 2θ 30.91, I 85
- 2θ 31.44, I 100
- 2θ 34.53, I 51
- 2θ 35.22, I 56
- 2θ 35.30, I 52
- 2θ 36.52, I 69
- 2θ 38.91, I 66
- 2θ 45.09, I 37

Structure:
a = 8.2740 Å, b = 8.0387 Å, c = 10.4688 Å
α = 90.00°, β = 127.24°, γ = 90.00°
Space group P2_1/c (No. 14)
Symmetry-distinct sites (fractional):
Pm1 0.2112 0.0296 0.4630 [4 per cell]
Pm2 0.2284 0.6910 0.6838 [4 per cell]
Pm3 0.2461 0.0324 0.9191 [4 per cell]
Ga1 0.3678 0.1936 0.2602 [4 per cell]
Co1 0.0275 0.2318 0.1750 [4 per cell]
Co2 0.4340 0.0035 0.7701 [4 per cell]


Record 6
Calculated PXRD pattern of BeAgP for Cu Kα (weighted mean of Kα1 and Kα2), from a PBE-relaxed structure.
Intensities are scaled so that the largest is 100.

Peak list (10 most intense, 2θ = 15–90°, low angle first)
- 2θ 28.07, I 23
- 2θ 30.31, I 47
- 2θ 33.35, I 25
- 2θ 37.03, I 100
- 2θ 38.90, I 23
- 2θ 41.39, I 13
- 2θ 48.83, I 30
- 2θ 50.09, I 25
- 2θ 58.31, I 13
- 2θ 69.22, I 15

Structure:
a = 5.8975 Å, b = 4.6305 Å, c = 6.5140 Å
α = 90.00°, β = 90.05°, γ = 90.00°
Space group C2 (No. 5)
Symmetry-distinct sites (fractional):
Be1 0.0000 0.0000 0.0000 [2 per cell]
Be2 0.0000 0.4997 0.0000 [2 per cell]
Ag1 0.2477 0.2513 0.3873 [4 per cell]
P1 0.2499 0.2506 0.8100 [4 per cell]


Record 7
Calculated PXRD pattern of LiBeV for Cu Kα (weighted mean of Kα1 and Kα2), from a PBE-relaxed structure.
Intensities are scaled so that the largest is 100.

Peak list (10 most intense, 2θ = 15–90°, low angle first)
- 2θ 20.00, I 31
- 2θ 21.77, I 100
- 2θ 34.94, I 40
- 2θ 38.10, I 37
- 2θ 40.63, I 32
- 2θ 44.38, I 20
- 2θ 44.77, I 20
- 2θ 46.40, I 19
- 2θ 46.72, I 23
- 2θ 47.84, I 21

Structure:
a = 2.2799 Å, b = 4.5223 Å, c = 7.2397 Å
α = 79.86°, β = 83.08°, γ = 84.80°
Space group P-1 (No. 2)
Symmetry-distinct sites (fractional):
Li1 0.2406 0.2311 0.0734 [2 per cell]
Be1 0.3603 0.8389 0.6162 [2 per cell]
V1 0.1430 0.6653 0.3351 [2 per cell]


Record 8
Calculated PXRD pattern of Tb2CeC2 for Cu Kα (weighted mean of Kα1 and Kα2), from a PBE-relaxed structure.
Intensities are scaled so that the largest is 100.

Peak list (10 most intense, 2θ = 15–90°, low angle first)
- 2θ 28.21, I 37
- 2θ 28.61, I 18
- 2θ 29.13, I 19
- 2θ 31.14, I 100
- 2θ 32.57, I 56
- 2θ 38.23, I 45
- 2θ 50.34, I 36
- 2θ 50.83, I 34
- 2θ 58.71, I 30
- 2θ 60.39, I 16

Structure:
a = 3.6250 Å, b = 3.6250 Å, c = 28.4704 Å
α = 90.00°, β = 90.00°, γ = 120.00°
Space group R-3m (No. 166, hexagonal axes)
Symmetry-distinct sites (fractional):
Tb1 0.0000 0.0000 0.2328 [6 per cell]
Ce1 0.0000 0.0000 0.0000 [3 per cell]
C1 0.0000 0.0000 0.3900 [6 per cell]


Record 9
Calculated PXRD pattern of Na2Cd9Au6 for Cu Kα (weighted mean of Kα1 and Kα2), from a PBE-relaxed structure.
Intensities are scaled so that the largest is 100.

Peak list (10 most intense, 2θ = 15–90°, low angle first)
- 2θ 17.07, I 97
- 2θ 29.79, I 26
- 2θ 35.88, I 100
- 2θ 39.68, I 26
- 2θ 39.98, I 74
- 2θ 43.48, I 18
- 2θ 56.90, I 26
- 2θ 61.87, I 21
- 2θ 76.04, I 23
- 2θ 88.99, I 16

Structure:
a = 5.9988 Å, b = 5.9988 Å, c = 13.6301 Å
α = 90.00°, β = 90.00°, γ = 120.00°
Space group P6/mmm (No. 191)
Symmetry-distinct sites (fractional):
Na1 0.0000 0.0000 0.1660 [2 per cell]
Cd1 0.0000 0.5000 0.0000 [3 per cell]
Cd2 0.0000 0.5000 0.3357 [6 per cell]
Au1 0.3333 0.6667 0.1681 [4 per cell]
Au2 0.3333 0.6667 0.5000 [2 per cell]


- Number 2 is which compound?
  SrTe5


Repeat the sixth record exactly.
Calculated PXRD pattern of BeAgP for Cu Kα (weighted mean of Kα1 and Kα2), from a PBE-relaxed structure.
Intensities are scaled so that the largest is 100.

Peak list (10 most intense, 2θ = 15–90°, low angle first)
- 2θ 28.07, I 23
- 2θ 30.31, I 47
- 2θ 33.35, I 25
- 2θ 37.03, I 100
- 2θ 38.90, I 23
- 2θ 41.39, I 13
- 2θ 48.83, I 30
- 2θ 50.09, I 25
- 2θ 58.31, I 13
- 2θ 69.22, I 15

Structure:
a = 5.8975 Å, b = 4.6305 Å, c = 6.5140 Å
α = 90.00°, β = 90.05°, γ = 90.00°
Space group C2 (No. 5)
Symmetry-distinct sites (fractional):
Be1 0.0000 0.0000 0.0000 [2 per cell]
Be2 0.0000 0.4997 0.0000 [2 per cell]
Ag1 0.2477 0.2513 0.3873 [4 per cell]
P1 0.2499 0.2506 0.8100 [4 per cell]


Please write out number 2 again, unchanged.
Calculated PXRD pattern of SrTe5 for Cu Kα (weighted mean of Kα1 and Kα2), from a PBE-relaxed structure.
Intensities are scaled so that the largest is 100.

Peak list (10 most intense, 2θ = 15–90°, low angle first)
- 2θ 16.67, I 15
- 2θ 30.66, I 100
- 2θ 31.12, I 37
- 2θ 31.37, I 29
- 2θ 36.62, I 24
- 2θ 44.77, I 21
- 2θ 48.80, I 21
- 2θ 55.08, I 19
- 2θ 61.98, I 14
- 2θ 79.49, I 14

Structure:
a = 5.7476 Å, b = 14.0157 Å, c = 4.9080 Å
α = 90.00°, β = 90.00°, γ = 90.00°
Space group Cmmm (No. 65)
Symmetry-distinct sites (fractional):
Sr1 0.0000 0.0000 0.0000 [2 per cell]
Te1 0.0000 0.2195 0.5000 [4 per cell]
Te2 0.0000 0.3588 0.0000 [4 per cell]
Te3 0.0000 0.5000 0.5000 [2 per cell]